Entry 1:
# CuSiF5
Calculated X-ray powder pattern, Cu Kα (weighted mean of Kα1 and Kα2). Input: a DFT-relaxed cell (PBE, Alexandria).
Lines closer than 0.1° are merged.

Structure:
```
data_CuSiF5
_chemical_formula_sum 'Cu2 Si2 F10'
_symmetry_space_group_name_H-M 'P -1'
_symmetry_Int_Tables_number 2
_cell_length_a 5.1966
_cell_length_b 7.2043
_cell_length_c 7.7721
_cell_angle_alpha 108.92
_cell_angle_beta 104.74
_cell_angle_gamma 100.04
loop_
_symmetry_equiv_pos_as_xyz
'x,y,z'
'-x,-y,-z'
loop_
_atom_site_label
_atom_site_fract_x
_atom_site_fract_y
_atom_site_fract_z
Cu1 0.0000 0.0000 0.0000
Cu2 0.5000 0.0000 0.0000
Si1 0.1917 0.6473 0.3330
F1 0.0124 0.4295 0.3006
F2 0.0200 0.8071 0.3778
F3 0.2691 0.6400 0.1474
F4 0.3124 0.1977 0.0390
F5 0.4683 0.7178 0.5105
```

Most intense lines, 10 to 80 degrees two-theta, in order of rising 2θ:
hkl 0 0 1, 2θ 12.8, I = 48
hkl 0 1 -1, 2θ 14.6, I = 44
hkl 0 1 1, 2θ 22.0, I = 96
hkl 1 1 -1, 2θ 23.2, I = 27
hkl 0 1 -2, 2θ 24.0, I = 100
hkl 0 2 -1, 2θ 25.2, I = 53
hkl 0 0 2, 2θ 25.7, I = 46
hkl 1 -2 0, 2θ 28.3, I = 23
hkl -2 2 1, 2θ 41.3, I = 28
hkl 2 3 -4, 2θ 62.9, I = 21

=====

Entry 2:
# CuSn2F6
Calculated X-ray powder pattern, Cu Kα (weighted mean of Kα1 and Kα2). Input: a DFT-relaxed cell (PBE, Alexandria).
Lines closer than 0.1° are merged.

Structure:
```
data_CuSn2F6
_chemical_formula_sum 'Cu4 Sn8 F24'
_symmetry_space_group_name_H-M 'C 1 2/c 1'
_symmetry_Int_Tables_number 15
_cell_length_a 9.6147
_cell_length_b 12.1020
_cell_length_c 5.0753
_cell_angle_alpha 90.00
_cell_angle_beta 100.27
_cell_angle_gamma 90.00
loop_
_symmetry_equiv_pos_as_xyz
'x,y,z'
'-x,-y,-z'
'-x,y,-z+1/2'
'x,-y,z+1/2'
'x+1/2,y+1/2,z'
'-x+1/2,-y+1/2,-z'
'-x+1/2,y+1/2,-z+1/2'
'x+1/2,-y+1/2,z+1/2'
loop_
_atom_site_label
_atom_site_fract_x
_atom_site_fract_y
_atom_site_fract_z
Cu1 0.0000 0.0783 0.2500
Sn1 0.1651 0.3797 0.1138
F1 0.0823 0.3836 0.4957
F2 0.1174 0.0627 0.5930
F3 0.1384 0.2041 0.1349
```

Most intense lines, 10 to 80 degrees two-theta, in order of rising 2θ:
hkl 1 1 1, 2θ 22.8, I = 100
hkl 2 2 -1, 2θ 27.8, I = 99
hkl 3 1 0, 2θ 29.3, I = 52
hkl 0 4 0, 2θ 29.5, I = 52
hkl 1 3 1, 2θ 31.0, I = 33
hkl 1 1 -2, 2θ 36.3, I = 31
hkl 2 0 2, 2θ 43.9, I = 25
hkl 4 2 1, 2θ 47.8, I = 34
hkl 5 1 -1, 2θ 48.9, I = 25
hkl 0 2 3, 2θ 57.4, I = 28

=====

Entry 3:
# SrCuF4
Calculated X-ray powder pattern, Cu Kα (weighted mean of Kα1 and Kα2). Input: a DFT-relaxed cell (PBE, Alexandria).
Lines closer than 0.1° are merged.

Structure:
```
data_SrCuF4
_chemical_formula_sum 'Sr4 Cu4 F16'
_symmetry_space_group_name_H-M 'I 4/m c m'
_symmetry_Int_Tables_number 140
_symmetry_space_group_name_Hall '-I 4 2c'
_cell_length_a 5.7518
_cell_length_b 5.7518
_cell_length_c 10.6884
_cell_angle_alpha 90.00
_cell_angle_beta 90.00
_cell_angle_gamma 90.00
loop_
_atom_site_label
_atom_site_fract_x
_atom_site_fract_y
_atom_site_fract_z
Sr1 0.0000 0.0000 0.2500
Cu1 0.0000 0.5000 0.0000
F1 0.1691 0.3309 0.1249
```

Most intense lines, 10 to 80 degrees two-theta, in order of rising 2θ:
hkl 1 1 2, 2θ 27.6, I = 100
hkl 2 0 0, 2θ 31.1, I = 19
hkl 2 1 1, 2θ 35.9, I = 7
hkl 2 2 0, 2θ 44.6, I = 17
hkl 2 0 4, 2θ 46.4, I = 36
hkl 3 1 2, 2θ 53.2, I = 31
hkl 1 1 6, 2θ 56.4, I = 13
hkl 2 2 4, 2θ 56.9, I = 10
hkl 3 1 6, 2θ 74.6, I = 11
hkl 4 0 4, 2θ 75.0, I = 7

=====

Entry 4:
# SrCuF4
Calculated X-ray powder pattern, Cu Kα (weighted mean of Kα1 and Kα2). Input: a DFT-relaxed cell (PBE, Alexandria).
Lines closer than 0.1° are merged.

Structure:
```
data_SrCuF4
_chemical_formula_sum 'Sr4 Cu4 F16'
_symmetry_space_group_name_H-M 'I 41/a'
_symmetry_Int_Tables_number 88
_cell_length_a 5.6987
_cell_length_b 5.6987
_cell_length_c 11.0613
_cell_angle_alpha 90.00
_cell_angle_beta 90.00
_cell_angle_gamma 90.00
loop_
_symmetry_equiv_pos_as_xyz
'x,y,z'
'-x,-y,-z'
'-y+3/4,x+1/4,z+1/4'
'y+3/4,-x+1/4,-z+1/4'
'-x+1/2,-y,z+1/2'
'x+1/2,y,-z+1/2'
'y+3/4,-x+3/4,z+3/4'
'-y+3/4,x+3/4,-z+3/4'
'x+1/2,y+1/2,z+1/2'
'-x+1/2,-y+1/2,-z+1/2'
'-y+1/4,x+3/4,z+3/4'
'y+1/4,-x+3/4,-z+3/4'
'-x,-y+1/2,z'
'x,y+1/2,-z'
'y+1/4,-x+1/4,z+1/4'
'-y+1/4,x+1/4,-z+1/4'
loop_
_atom_site_label
_atom_site_fract_x
_atom_site_fract_y
_atom_site_fract_z
Sr1 0.0000 0.2500 0.1250
Cu1 0.0000 0.2500 0.6250
F1 0.1368 0.0379 0.3195
```

Most intense lines, 10 to 80 degrees two-theta, in order of rising 2θ:
hkl 1 1 2, 2θ 27.4, I = 100
hkl 2 0 0, 2θ 31.4, I = 21
hkl 0 0 4, 2θ 32.4, I = 22
hkl 2 1 1, 2θ 36.2, I = 9
hkl 2 2 0, 2θ 45.0, I = 16
hkl 2 0 4, 2θ 45.7, I = 25
hkl 1 3 2, 2θ 53.5, I = 43
hkl 1 1 6, 2θ 54.8, I = 17
hkl 2 2 4, 2θ 56.5, I = 15
hkl 3 1 6, 2θ 73.5, I = 11

=====

Entry 5:
# SrCu2F11
Calculated X-ray powder pattern, Cu Kα (weighted mean of Kα1 and Kα2). Input: a DFT-relaxed cell (PBE, Alexandria).
Lines closer than 0.1° are merged.

Structure:
```
data_SrCu2F11
_chemical_formula_sum 'Sr4 Cu8 F44'
_symmetry_space_group_name_H-M 'I 4/m c m'
_symmetry_Int_Tables_number 140
_symmetry_space_group_name_Hall '-I 4 2c'
_cell_length_a 9.1915
_cell_length_b 9.1915
_cell_length_c 10.5119
_cell_angle_alpha 90.00
_cell_angle_beta 90.00
_cell_angle_gamma 90.00
loop_
_atom_site_label
_atom_site_fract_x
_atom_site_fract_y
_atom_site_fract_z
Sr1 0.0000 0.0000 0.2500
Cu1 0.2116 0.2884 0.0000
F1 0.0000 0.5000 0.0000
F2 0.1058 0.2019 0.1198
F3 0.1358 0.3642 0.5000
```

Most intense lines, 10 to 80 degrees two-theta, in order of rising 2θ:
hkl 1 1 0, 2θ 13.6, I = 36
hkl 0 0 2, 2θ 16.9, I = 27
hkl 1 1 2, 2θ 21.7, I = 67
hkl 2 1 1, 2θ 23.2, I = 29
hkl 2 0 2, 2θ 25.8, I = 100
hkl 2 2 0, 2θ 27.4, I = 37
hkl 3 2 1, 2θ 36.3, I = 37
hkl 2 2 4, 2θ 44.3, I = 34
hkl 3 1 4, 2θ 46.6, I = 27
hkl 4 1 3, 2θ 48.4, I = 20

=====

Entry 6:
# SrCuTeF
Calculated X-ray powder pattern, Cu Kα (weighted mean of Kα1 and Kα2). Input: a DFT-relaxed cell (PBE, Alexandria).
Lines closer than 0.1° are merged.

Structure:
```
data_SrCuTeF
_chemical_formula_sum 'Sr2 Cu2 Te2 F2'
_symmetry_space_group_name_H-M 'P 4/n m m'
_symmetry_Int_Tables_number 129
_cell_length_a 4.2650
_cell_length_b 4.2650
_cell_length_c 9.2681
_cell_angle_alpha 90.00
_cell_angle_beta 90.00
_cell_angle_gamma 90.00
loop_
_symmetry_equiv_pos_as_xyz
'x,y,z'
'-x,-y,-z'
'-y+1/2,x,z'
'y+1/2,-x,-z'
'-x+1/2,-y+1/2,z'
'x+1/2,y+1/2,-z'
'y,-x+1/2,z'
'-y,x+1/2,-z'
'x+1/2,-y,-z'
'-x+1/2,y,z'
'-y,-x,-z'
'y,x,z'
'-x,y+1/2,-z'
'x,-y+1/2,z'
'y+1/2,x+1/2,-z'
'-y+1/2,-x+1/2,z'
loop_
_atom_site_label
_atom_site_fract_x
_atom_site_fract_y
_atom_site_fract_z
Sr1 0.2500 0.2500 0.1476
Cu1 0.2500 0.7500 0.5000
Te1 0.2500 0.2500 0.6741
F1 0.2500 0.7500 0.0000
```

Most intense lines, 10 to 80 degrees two-theta, in order of rising 2θ:
hkl 1 0 2, 2θ 28.4, I = 100
hkl 1 1 0, 2θ 29.6, I = 19
hkl 1 1 2, 2θ 35.5, I = 55
hkl 2 0 0, 2θ 42.4, I = 44
hkl 1 0 4, 2θ 44.5, I = 23
hkl 1 1 4, 2θ 49.6, I = 25
hkl 2 1 2, 2θ 51.8, I = 37
hkl 2 2 0, 2θ 61.5, I = 14
hkl 2 1 4, 2θ 63.1, I = 16
hkl 2 0 6, 2θ 76.1, I = 12